CeSiGe2Ru2: computed powder diffractogram (Cu Kα (weighted mean of Kα1 and Kα2)), based on a crystal structure in Alexandria, relaxed with GGA-PBE.

Most intense lines, 2θ = 15–90°, by angle:
2θ = 25.5°, I = 122
2θ = 31.8°, I = 123
2θ = 32.6°, I = 1000
2θ = 37.8°, I = 561
2θ = 40.5°, I = 654
2θ = 43.1°, I = 132
2θ = 56.6°, I = 342
2θ = 58.6°, I = 217
2θ = 68.7°, I = 286
2θ = 80.8°, I = 153

```
CeSiGe2Ru2
1.0
4.452 0.000 0.000
0.000 4.452 0.000
0.000 0.000 5.628
Ce Si Ge Ru
1 1 2 2
direct
0.000 0.000 0.000
0.000 0.000 0.500
0.500 0.500 0.226
0.500 0.500 0.774
0.000 0.500 0.500
0.500 0.000 0.500
```

***

NaPmTl4O8: computed powder diffractogram (Cu Kα (weighted mean of Kα1 and Kα2)), based on a crystal structure in Alexandria, relaxed with GGA-PBE.

Most intense lines, 2θ = 15–90°, by angle:
2θ = 15.7°, I = 358
2θ = 18.2°, I = 134
2θ = 25.8°, I = 141
2θ = 30.4°, I = 1000
2θ = 31.8°, I = 317
2θ = 36.9°, I = 217
2θ = 48.5°, I = 281
2θ = 53.1°, I = 209
2θ = 53.2°, I = 209
2θ = 63.3°, I = 139

```
NaPmTl4O8
1.0
3.443 1.988 5.643
-3.443 1.988 5.643
0.000 -3.975 5.643
Na Pm Tl O
1 1 4 8
direct
0.000 0.000 0.000
0.375 0.375 0.375
0.375 0.375 0.889
0.375 0.889 0.375
0.758 0.758 0.758
0.889 0.375 0.375
0.137 0.137 0.593
0.137 0.593 0.137
0.140 0.140 0.140
0.152 0.622 0.622
0.593 0.137 0.137
0.619 0.619 0.619
0.622 0.152 0.622
0.622 0.622 0.152
```

***

AcSnH2Rh2: computed powder diffractogram (Cu Kα (weighted mean of Kα1 and Kα2)), based on a crystal structure in Alexandria, relaxed with GGA-PBE.

Most intense lines, 2θ = 15–90°, by angle:
2θ = 25.6°, I = 564
2θ = 28.4°, I = 702
2θ = 28.9°, I = 1000
2θ = 33.2°, I = 242
2θ = 37.1°, I = 893
2θ = 37.5°, I = 591
2θ = 38.9°, I = 255
2θ = 39.1°, I = 542
2θ = 44.7°, I = 314
2θ = 66.1°, I = 231

```
AcSnH2Rh2
1.0
4.853 0.000 0.000
0.000 5.845 0.000
-1.161 0.000 7.262
Ac Sn H Rh
2 2 4 4
direct
0.245 0.250 0.366
0.755 0.750 0.634
0.210 0.750 0.098
0.790 0.250 0.902
0.137 0.250 0.684
0.269 0.750 0.687
0.731 0.250 0.313
0.863 0.750 0.316
0.284 0.016 0.810
0.284 0.484 0.810
0.716 0.516 0.190
0.716 0.984 0.190
```

***

BaCd2IrO5: computed powder diffractogram (Cu Kα (weighted mean of Kα1 and Kα2)), based on a crystal structure in Alexandria, relaxed with GGA-PBE.

Most intense lines, 2θ = 15–90°, by angle:
2θ = 15.2°, I = 75
2θ = 17.0°, I = 137
2θ = 30.7°, I = 462
2θ = 32.0°, I = 1000
2θ = 43.9°, I = 243
2θ = 45.6°, I = 89
2θ = 47.8°, I = 119
2θ = 55.3°, I = 337
2θ = 57.8°, I = 157
2θ = 66.9°, I = 130

```
BaCd2IrO5
1.0
-1.904 2.914 5.839
1.904 -2.914 5.839
1.904 2.914 -5.839
Ba Cd Ir O
1 2 1 5
direct
0.000 0.000 0.000
0.281 0.781 0.500
0.719 0.219 0.500
0.500 0.500 0.000
0.134 0.365 0.769
0.404 0.635 0.769
0.500 0.000 0.500
0.596 0.365 0.231
0.866 0.635 0.231
```

***

TlBiSb2I: computed powder diffractogram (Cu Kα (weighted mean of Kα1 and Kα2)), based on a crystal structure in Alexandria, relaxed with GGA-PBE.

Most intense lines, 2θ = 15–90°, by angle:
2θ = 20.5°, I = 672
2θ = 21.4°, I = 325
2θ = 25.5°, I = 689
2θ = 27.7°, I = 636
2θ = 30.4°, I = 1000
2θ = 37.0°, I = 317
2θ = 41.6°, I = 859
2θ = 43.6°, I = 377
2θ = 52.4°, I = 439
2θ = 78.7°, I = 313

```
TlBiSb2I
1.0
5.874 0.000 0.000
0.000 5.874 0.000
0.000 0.000 6.439
Tl Bi Sb I
1 1 2 1
direct
0.000 0.000 0.000
0.500 0.500 0.500
0.000 0.500 0.500
0.500 0.000 0.500
0.500 0.500 0.000
```